Entry 1:
The following is a theoretical X-ray diffraction stick pattern of TmAlCo. It was derived from DFT lattice parameters and positions (PBE), using Cu Kα (weighted mean of Kα1 and Kα2).
No peak broadening, texture or thermal motion is included.

Peak list (6 most intense, 5° ≤ 2θ ≤ 70°, in order of rising 2θ)
33.39°, 2.684 Å, intensity 39
33.86°, 2.647 Å, intensity 61
37.62°, 2.391 Å, intensity 100
37.76°, 2.382 Å, intensity 39
40.30°, 2.238 Å, intensity 88
40.45°, 2.230 Å, intensity 47

Cell and atoms:
```
data_TmAlCo
_chemical_formula_sum 'Tm8 Al8 Co8'
_cell_length_a 8.3780
_cell_length_b 5.3679
_cell_length_c 9.1301
_cell_angle_alpha 90.00
_cell_angle_beta 90.00
_cell_angle_gamma 90.00
_symmetry_space_group_name_H-M 'A m m 2'
_symmetry_Int_Tables_number 38
loop_
_symmetry_equiv_pos_as_xyz
'x,y,z'
'-x,-y,z'
'-x,y,z'
'x,-y,z'
'x,y+1/2,z+1/2'
'-x,-y+1/2,z+1/2'
'-x,y+1/2,z+1/2'
'x,-y+1/2,z+1/2'
loop_
_atom_site_label
_atom_site_type_symbol
_atom_site_fract_x
_atom_site_fract_y
_atom_site_fract_z
Tm1 Tm 0.1754 0.0000 0.0000
Tm2 Tm 0.2965 0.0000 0.6635
Al1 Al 0.2292 0.0000 0.3259
Al2 Al 0.5000 0.2473 0.9169
Co1 Co 0.0000 0.0000 0.5039
Co2 Co 0.0000 0.2344 0.7387
Co3 Co 0.5000 0.0000 0.1633
```



Entry 2:
The following is a theoretical X-ray diffraction stick pattern of Ta6TeSe2. It was derived from DFT lattice parameters and positions (PBE), using Cu Kα (weighted mean of Kα1 and Kα2).
No peak broadening, texture or thermal motion is included.

Peak list (6 most intense, 5° ≤ 2θ ≤ 70°, in order of rising 2θ)
8.06°, 10.974 Å, intensity 100
35.85°, 2.505 Å, intensity 33
36.16°, 2.484 Å, intensity 35
37.19°, 2.418 Å, intensity 28
37.39°, 2.405 Å, intensity 28
42.10°, 2.146 Å, intensity 27

Cell and atoms:
```
data_Ta6TeSe2
_chemical_formula_sum 'Ta24 Te4 Se8'
_cell_length_a 14.5069
_cell_length_b 4.8106
_cell_length_c 10.9744
_cell_angle_alpha 90.00
_cell_angle_beta 90.66
_cell_angle_gamma 90.00
_symmetry_space_group_name_H-M 'C 1 2/m 1'
_symmetry_Int_Tables_number 12
loop_
_symmetry_equiv_pos_as_xyz
'x,y,z'
'-x,-y,-z'
'-x,y,-z'
'x,-y,z'
'x+1/2,y+1/2,z'
'-x+1/2,-y+1/2,-z'
'-x+1/2,y+1/2,-z'
'x+1/2,-y+1/2,z'
loop_
_atom_site_label
_atom_site_type_symbol
_atom_site_fract_x
_atom_site_fract_y
_atom_site_fract_z
Ta1 Ta 0.0821 0.0000 0.2855
Ta2 Ta 0.0834 0.0000 0.5734
Ta3 Ta 0.0828 0.5000 0.4322
Ta4 Ta 0.0855 0.5000 0.7186
Ta5 Ta 0.2492 0.0000 0.4309
Ta6 Ta 0.2493 0.5000 0.2835
Te1 Te 0.0851 0.0000 0.8645
Se1 Se 0.0822 0.5000 0.1741
Se2 Se 0.2464 0.0000 0.1715
```



Entry 3:
The following is a theoretical X-ray diffraction stick pattern of TlHO. It was derived from DFT lattice parameters and positions (PBE), using Cu Kα (weighted mean of Kα1 and Kα2).
No peak broadening, texture or thermal motion is included.

Peak list (6 most intense, 5° ≤ 2θ ≤ 70°, in order of rising 2θ)
23.37°, 3.806 Å, intensity 76
25.77°, 3.457 Å, intensity 98
28.54°, 3.128 Å, intensity 62
28.98°, 3.081 Å, intensity 69
29.17°, 3.062 Å, intensity 57
32.39°, 2.764 Å, intensity 100

Cell and atoms:
```
data_TlHO
_chemical_formula_sum 'Tl8 H8 O8'
_cell_length_a 4.4249
_cell_length_b 4.5104
_cell_length_c 22.1187
_cell_angle_alpha 91.10
_cell_angle_beta 90.14
_cell_angle_gamma 91.41
_symmetry_space_group_name_H-M 'P 1'
_symmetry_Int_Tables_number 1
loop_
_symmetry_equiv_pos_as_xyz
'x,y,z'
loop_
_atom_site_label
_atom_site_type_symbol
_atom_site_fract_x
_atom_site_fract_y
_atom_site_fract_z
Tl1 Tl 0.0000 0.0000 0.0000
Tl2 Tl 0.0005 0.5227 0.8726
Tl3 Tl 0.3844 0.4431 0.6181
Tl4 Tl 0.4168 0.9439 0.7456
Tl5 Tl 0.4216 0.4294 0.1187
Tl6 Tl 0.5177 0.0520 0.3691
Tl7 Tl 0.9266 0.4412 0.2449
Tl8 Tl 0.9820 0.0146 0.4966
H1 H 0.0422 0.8211 0.3233
H2 H 0.3802 0.9640 0.2248
H3 H 0.4372 0.5576 0.4740
H4 H 0.4911 0.5552 0.9722
H5 H 0.5293 0.3243 0.8238
H6 H 0.6195 0.8994 0.0773
H7 H 0.6210 0.9172 0.5800
H8 H 0.8814 0.4687 0.7274
O1 O 0.2713 0.0077 0.2622
O2 O 0.4357 0.2075 0.8565
O3 O 0.4559 0.6896 0.5094
O4 O 0.4906 0.6691 0.0102
O5 O 0.7399 0.0354 0.6097
O6 O 0.7404 0.9921 0.1102
O7 O 0.7503 0.4991 0.7625
O8 O 0.9314 0.7043 0.3536
```



Entry 4:
The following is a theoretical X-ray diffraction stick pattern of TmSi2Rh2. It was derived from DFT lattice parameters and positions (PBE), using Cu Kα (weighted mean of Kα1 and Kα2).
No peak broadening, texture or thermal motion is included.

Peak list (6 most intense, 5° ≤ 2θ ≤ 70°, in order of rising 2θ)
23.72°, 3.751 Å, intensity 26
35.02°, 2.563 Å, intensity 27
36.20°, 2.481 Å, intensity 100
44.74°, 2.026 Å, intensity 30
51.25°, 1.783 Å, intensity 17
65.12°, 1.432 Å, intensity 24

Cell and atoms:
```
data_TmSi2Rh2
_chemical_formula_sum 'Tm2 Si4 Rh4'
_cell_length_a 4.0514
_cell_length_b 4.0514
_cell_length_c 9.9253
_cell_angle_alpha 90.00
_cell_angle_beta 90.00
_cell_angle_gamma 90.00
_symmetry_space_group_name_H-M 'I 4/m m m'
_symmetry_Int_Tables_number 139
_symmetry_space_group_name_Hall '-I 4 2'
loop_
_atom_site_label
_atom_site_type_symbol
_atom_site_fract_x
_atom_site_fract_y
_atom_site_fract_z
Tm1 Tm 0.0000 0.0000 0.0000
Si1 Si 0.0000 0.0000 0.3793
Rh1 Rh 0.0000 0.5000 0.2500
```